No. 1
MgFeSi2O6: simulated powder X-ray diffraction pattern (a wavelength of 1.5418 Å), based on a structure optimized by DFT (PBE+U).
Kinematic intensities with the Lorentz-polarization factor, no thermal factor.

Cell and atoms:
Cell: 6.7531 6.7531 5.3143 Å, 103.27 103.27 86.52°
Fractional coordinates of all 20 atoms:
Mg: 0.2445 0.7555 0.7500
Mg: 0.7555 0.2445 0.2500
Fe: 0.1011 0.8989 0.2500
Fe: 0.8989 0.1011 0.7500
Si: 0.2122 0.3862 0.2587
Si: 0.3862 0.2122 0.7587
Si: 0.6138 0.7878 0.2413
Si: 0.7878 0.6138 0.7413
O: 0.0314 0.2146 0.1587
O: 0.1440 0.6169 0.3729
O: 0.2146 0.0314 0.6587
O: 0.3188 0.3828 0.0058
O: 0.3828 0.3188 0.5058
O: 0.3831 0.8560 0.1271
O: 0.6169 0.1440 0.8729
O: 0.6172 0.6812 0.4942
O: 0.6812 0.6172 0.9942
O: 0.7854 0.9686 0.3413
O: 0.8560 0.3831 0.6271
O: 0.9686 0.7853 0.8413

Principal peaks in the range 2θ from 5° to 70°, low angle first:
2θ = 13.47°, rel. 55
2θ = 28.95°, rel. 100
2θ = 30.30°, rel. 82
2θ = 33.83°, rel. 62
2θ = 35.60°, rel. 38
2θ = 35.77°, rel. 37
2θ = 41.11°, rel. 54
2θ = 55.46°, rel. 24
2θ = 55.61°, rel. 25
2θ = 65.93°, rel. 32


No. 2
LiFeP3O9: simulated powder X-ray diffraction pattern (a wavelength of 1.5418 Å), based on a structure optimized by DFT (PBE+U).
Kinematic intensities with the Lorentz-polarization factor, no thermal factor.

Cell and atoms:
Cell: 6.4131 6.4303 6.4445 Å, 107.23 107.13 107.79°
Fractional coordinates of all 14 atoms:
Li: 0.0000 0.0000 0.0000
Fe: 0.6315 0.6314 0.6346
P: 0.1373 0.7008 0.5634
P: 0.5662 0.1397 0.7002
P: 0.6974 0.5632 0.1390
O: 0.0219 0.7760 0.7274
O: 0.2876 0.5692 0.6155
O: 0.2911 0.9386 0.5388
O: 0.5404 0.2893 0.9359
O: 0.5593 0.6070 0.2844
O: 0.6202 0.2910 0.5688
O: 0.7283 0.0225 0.7737
O: 0.7758 0.7302 0.0269
O: 0.9353 0.5398 0.2916

Principal peaks in the range 2θ from 5° to 70°, low angle first:
2θ = 15.94°, rel. 100
2θ = 16.02°, rel. 50
2θ = 17.12°, rel. 84
2θ = 23.42°, rel. 10
2θ = 29.14°, rel. 23
2θ = 29.25°, rel. 17
2θ = 29.87°, rel. 12
2θ = 32.10°, rel. 13
2θ = 32.33°, rel. 25
2θ = 38.25°, rel. 20


No. 3
Ba2Cr7O14: simulated powder X-ray diffraction pattern (a wavelength of 1.5418 Å), based on a structure optimized by DFT (PBE+U).
Kinematic intensities with the Lorentz-polarization factor, no thermal factor.

Cell and atoms:
Cell: 9.9556 9.9556 9.9556 Å, 34.40 34.40 34.40°
Fractional coordinates of all 23 atoms:
Ba: 0.2109 0.2109 0.2109
Ba: 0.7891 0.7891 0.7891
Cr: 0.0000 0.5000 0.5000
Cr: 0.0726 0.0726 0.0726
Cr: 0.4379 0.4379 0.4379
Cr: 0.5000 0.0000 0.5000
Cr: 0.5000 0.5000 0.0000
Cr: 0.5621 0.5621 0.5621
Cr: 0.9274 0.9274 0.9274
O: 0.1355 0.1355 0.6131
O: 0.1355 0.6131 0.1355
O: 0.2068 0.7192 0.7192
O: 0.2808 0.2808 0.7932
O: 0.2808 0.7932 0.2808
O: 0.3707 0.3707 0.3707
O: 0.3869 0.8645 0.8645
O: 0.6131 0.1355 0.1355
O: 0.6293 0.6293 0.6293
O: 0.7192 0.2068 0.7192
O: 0.7192 0.7192 0.2068
O: 0.7932 0.2808 0.2808
O: 0.8645 0.3869 0.8645
O: 0.8645 0.8645 0.3869

Principal peaks in the range 2θ from 5° to 70°, low angle first:
2θ = 18.51°, rel. 29
2θ = 28.31°, rel. 63
2θ = 28.62°, rel. 47
2θ = 30.36°, rel. 100
2θ = 30.94°, rel. 76
2θ = 31.87°, rel. 60
2θ = 36.05°, rel. 49
2θ = 38.80°, rel. 99
2θ = 58.57°, rel. 46
2θ = 63.17°, rel. 49


No. 4
Li9Mn2Co5O16: simulated powder X-ray diffraction pattern (a wavelength of 1.5418 Å), based on a structure optimized by DFT (PBE+U).
Kinematic intensities with the Lorentz-polarization factor, no thermal factor.

Cell and atoms:
Cell: 9.8106 9.8106 10.3413 Å, 96.85 96.85 16.91°
Fractional coordinates of all 32 atoms:
Li: 0.0000 0.0000 0.0000
Li: 0.1223 0.1223 0.6887
Li: 0.2394 0.2394 0.3885
Li: 0.2416 0.2416 0.8661
Li: 0.5004 0.5004 0.2585
Li: 0.5032 0.5032 0.7313
Li: 0.7373 0.7373 0.6273
Li: 0.7432 0.7432 0.1268
Li: 0.9966 0.9966 0.5058
Mn: 0.3729 0.3729 0.0636
Mn: 0.6238 0.6238 0.9303
Co: 0.1223 0.1223 0.1916
Co: 0.3680 0.3680 0.5656
Co: 0.6133 0.6133 0.4573
Co: 0.8699 0.8699 0.3151
Co: 0.8710 0.8710 0.8116
O: 0.0634 0.0634 0.3454
O: 0.0643 0.0643 0.8566
O: 0.1767 0.1767 0.5251
O: 0.1782 0.1782 0.0217
O: 0.3132 0.3132 0.7242
O: 0.3199 0.3199 0.2165
O: 0.4243 0.4243 0.3989
O: 0.4240 0.4240 0.9149
O: 0.5585 0.5585 0.5852
O: 0.5700 0.5700 0.0962
O: 0.6781 0.6781 0.7960
O: 0.6787 0.6787 0.2702
O: 0.8116 0.8116 0.4730
O: 0.8148 0.8148 0.9869
O: 0.9286 0.9286 0.6519
O: 0.9299 0.9299 0.1444

Principal peaks in the range 2θ from 5° to 70°, low angle first:
2θ = 18.42°, rel. 100
2θ = 35.08°, rel. 15
2θ = 36.29°, rel. 25
2θ = 37.34°, rel. 8
2θ = 37.63°, rel. 8
2θ = 42.35°, rel. 29
2θ = 44.15°, rel. 53
2θ = 47.51°, rel. 9
2θ = 58.22°, rel. 10
2θ = 62.83°, rel. 29


No. 5
MnP2H9C2NO7: simulated powder X-ray diffraction pattern (a wavelength of 1.5418 Å), based on a structure optimized by DFT (PBE+U).
Kinematic intensities with the Lorentz-polarization factor, no thermal factor.

Cell and atoms:
Cell: 5.6549 5.6549 13.1148 Å, 92.96 92.96 105.86°
Fractional coordinates of all 44 atoms:
Mn: 0.0364 0.9636 0.5000
Mn: 0.9636 0.0364 0.0000
P: 0.1382 0.8637 0.7635
P: 0.3553 0.6392 0.0361
P: 0.6392 0.3553 0.5361
P: 0.8637 0.1382 0.2635
H: 0.1555 0.4970 0.6644
H: 0.1910 0.8312 0.2188
H: 0.1989 0.4655 0.7975
H: 0.3273 0.6137 0.4709
H: 0.3309 0.4623 0.1965
H: 0.3617 0.7828 0.3182
H: 0.4623 0.3309 0.6965
H: 0.4655 0.1989 0.2975
H: 0.4716 0.8961 0.8696
H: 0.4919 0.8995 0.4846
H: 0.4970 0.1555 0.1644
H: 0.6137 0.3273 0.9709
H: 0.6356 0.6588 0.1895
H: 0.6588 0.6356 0.6895
H: 0.7828 0.3617 0.8182
H: 0.8312 0.1910 0.7188
H: 0.8961 0.4716 0.3696
H: 0.8995 0.4919 0.9846
C: 0.0882 0.5290 0.7393
C: 0.4391 0.6417 0.1742
C: 0.5290 0.0882 0.2393
C: 0.6417 0.4391 0.6742
N: 0.3698 0.8306 0.2411
N: 0.8306 0.3698 0.7411
O: 0.1099 0.9784 0.6635
O: 0.1158 0.7201 0.0319
O: 0.3146 0.3676 0.9973
O: 0.3328 0.7836 0.4518
O: 0.3676 0.3146 0.4973
O: 0.4238 0.9489 0.8003
O: 0.5628 0.8166 0.9833
O: 0.7201 0.1158 0.5319
O: 0.7836 0.3328 0.9518
O: 0.8166 0.5628 0.4833
O: 0.9149 0.9735 0.3441
O: 0.9489 0.4238 0.3003
O: 0.9735 0.9149 0.8441
O: 0.9784 0.1099 0.1635

Principal peaks in the range 2θ from 5° to 70°, low angle first:
2θ = 13.55°, rel. 41
2θ = 16.33°, rel. 76
2θ = 20.83°, rel. 100
2θ = 23.97°, rel. 35
2θ = 25.33°, rel. 40
2θ = 26.24°, rel. 70
2θ = 27.30°, rel. 82
2θ = 28.52°, rel. 27
2θ = 33.01°, rel. 25
2θ = 34.95°, rel. 29


No. 6
NaV13O18: simulated powder X-ray diffraction pattern (a wavelength of 1.5418 Å), based on a structure optimized by DFT (PBE+U).
Kinematic intensities with the Lorentz-polarization factor, no thermal factor.

Cell and atoms:
Cell: 7.3180 7.9416 7.9519 Å, 110.97 107.18 108.10°
Fractional coordinates of all 32 atoms:
Na: 0.0000 0.0000 0.0000
V: 0.0814 0.2026 0.5003
V: 0.1206 0.6955 0.1969
V: 0.2261 0.6279 0.5796
V: 0.3454 0.5753 0.9439
V: 0.4023 0.0532 0.6317
V: 0.4269 0.4962 0.2973
V: 0.4928 0.9888 0.9923
V: 0.5834 0.5027 0.7037
V: 0.6055 0.9543 0.3735
V: 0.6408 0.4218 0.0525
V: 0.7632 0.3603 0.4161
V: 0.8826 0.3043 0.8036
V: 0.9245 0.8033 0.5000
O: 0.0471 0.4405 0.6720
O: 0.1141 0.9479 0.3851
O: 0.1504 0.4361 0.0577
O: 0.2136 0.8973 0.7275
O: 0.2897 0.3854 0.4462
O: 0.3266 0.8420 0.1042
O: 0.3807 0.3151 0.7633
O: 0.3858 0.7763 0.4478
O: 0.4796 0.2555 0.1602
O: 0.5201 0.7398 0.8375
O: 0.6151 0.2331 0.5561
O: 0.6254 0.6812 0.2334
O: 0.6677 0.1584 0.8850
O: 0.7217 0.6090 0.5591
O: 0.7828 0.1110 0.2606
O: 0.8407 0.5634 0.9481
O: 0.9067 0.0589 0.6190
O: 0.9337 0.5472 0.3247

Principal peaks in the range 2θ from 5° to 70°, low angle first:
2θ = 13.46°, rel. 60
2θ = 13.52°, rel. 30
2θ = 14.36°, rel. 43
2θ = 36.55°, rel. 56
2θ = 42.16°, rel. 100
2θ = 42.64°, rel. 99
2θ = 42.83°, rel. 97
2θ = 61.51°, rel. 27
2θ = 61.81°, rel. 76
2θ = 62.23°, rel. 27


No. 7
MoO2: simulated powder X-ray diffraction pattern (a wavelength of 1.5418 Å), based on a structure optimized by DFT (PBE+U).
Kinematic intensities with the Lorentz-polarization factor, no thermal factor.

Cell and atoms:
Cell: 3.1972 3.1972 14.2472 Å, 90.00 90.00 120.00°
Fractional coordinates of all 9 atoms:
Mo: 0.0000 0.0000 0.0000
Mo: 0.3333 0.6667 0.6667
Mo: 0.6667 0.3333 0.3333
O: 0.0000 0.0000 0.2638
O: 0.0000 0.0000 0.7362
O: 0.3333 0.6667 0.4029
O: 0.3333 0.6667 0.9304
O: 0.6667 0.3333 0.0696
O: 0.6667 0.3333 0.5971

Principal peaks in the range 2θ from 5° to 70°, low angle first:
2θ = 18.68°, rel. 100
2θ = 32.95°, rel. 56
2θ = 34.76°, rel. 23
2θ = 37.89°, rel. 7
2θ = 41.30°, rel. 54
2θ = 45.69°, rel. 18
2θ = 56.08°, rel. 17
2θ = 57.66°, rel. 19
2θ = 61.17°, rel. 22
2θ = 61.95°, rel. 13